# 1
# DyAl3
Simulated X-ray diffraction stick pattern, Cu Kα. Input: a GGA-PBE-relaxed structure.

Top 12 peaks for 10° ≤ 2θ ≤ 80°, in order of falling intensity:
| Position (°2θ) | d (Å) | I (rel.) |
| --- | --- | --- |
| 25.09 | 3.549 | 100 |
| 38.85 | 2.318 | 95 |
| 29.17 | 3.062 | 57 |
| 19.14 | 4.636 | 51 |
| 35.12 | 2.555 | 41 |
| 37.67 | 2.388 | 31 |
| 48.34 | 1.883 | 29 |
| 73.48 | 1.289 | 25 |
| 49.31 | 1.848 | 25 |
| 60.47 | 1.531 | 22 |
| 44.47 | 2.037 | 21 |
| 68.79 | 1.365 | 18 |

Structure:
```
data_DyAl3
_chemical_formula_sum 'Dy4 Al12'
_cell_length_a 6.1237
_cell_length_b 6.1237
_cell_length_c 9.5505
_cell_angle_alpha 90.00
_cell_angle_beta 90.00
_cell_angle_gamma 120.00
_symmetry_space_group_name_H-M 'P 63/m m c'
_symmetry_Int_Tables_number 194
_symmetry_space_group_name_Hall '-P 6c 2c'
loop_
_atom_site_label
_atom_site_type_symbol
_atom_site_fract_x
_atom_site_fract_y
_atom_site_fract_z
Dy1 Dy 0.0000 0.0000 0.0000
Dy2 Dy 0.3333 0.6667 0.2500
Al1 Al 0.0000 0.5000 0.0000
Al2 Al 0.1834 0.3669 0.7500
```

***

# 2
# DyAl3
Simulated X-ray diffraction stick pattern, Cu Kα. Input: a GGA-PBE-relaxed structure.

Top 12 peaks for 10° ≤ 2θ ≤ 80°, in order of falling intensity:
| Position (°2θ) | d (Å) | I (rel.) |
| --- | --- | --- |
| 23.64 | 3.764 | 100 |
| 26.83 | 3.322 | 95 |
| 37.69 | 2.387 | 94 |
| 39.87 | 2.261 | 92 |
| 28.93 | 3.087 | 91 |
| 17.10 | 5.184 | 48 |
| 38.20 | 2.356 | 45 |
| 48.62 | 1.873 | 43 |
| 33.80 | 2.652 | 40 |
| 73.33 | 1.291 | 37 |
| 59.94 | 1.543 | 34 |
| 50.00 | 1.824 | 27 |

Structure:
```
data_DyAl3
_chemical_formula_sum 'Dy9 Al27'
_cell_length_a 6.1734
_cell_length_b 6.1734
_cell_length_c 21.2022
_cell_angle_alpha 90.00
_cell_angle_beta 90.00
_cell_angle_gamma 120.00
_symmetry_space_group_name_H-M 'R -3 m'
_symmetry_Int_Tables_number 166
_symmetry_space_group_name_Hall '-R 3 2"'
loop_
_atom_site_label
_atom_site_type_symbol
_atom_site_fract_x
_atom_site_fract_y
_atom_site_fract_z
Dy1 Dy 0.0000 0.0000 0.0000
Dy2 Dy 0.0000 0.0000 0.2184
Al1 Al 0.0000 0.5000 0.0000
Al2 Al 0.0394 0.5197 0.2229
```

***

# 3
# DyAl3
Simulated X-ray diffraction stick pattern, Cu Kα. Input: a GGA-PBE-relaxed structure.

Top 11 peaks for 10° ≤ 2θ ≤ 80°, in order of falling intensity:
| Position (°2θ) | d (Å) | I (rel.) |
| --- | --- | --- |
| 36.58 | 2.457 | 100 |
| 20.88 | 4.255 | 93 |
| 29.69 | 3.009 | 79 |
| 42.49 | 2.128 | 49 |
| 47.79 | 1.903 | 43 |
| 73.86 | 1.283 | 38 |
| 52.69 | 1.737 | 33 |
| 61.65 | 1.504 | 33 |
| 65.84 | 1.418 | 21 |
| 69.91 | 1.346 | 14 |
| 77.74 | 1.228 | 11 |

Structure:
```
data_DyAl3
_chemical_formula_sum 'Dy1 Al3'
_cell_length_a 4.255
_cell_length_b 4.255
_cell_length_c 4.255
_cell_angle_alpha 90.00
_cell_angle_beta 90.00
_cell_angle_gamma 90.00
_symmetry_space_group_name_H-M 'P m -3 m'
_symmetry_Int_Tables_number 221
_symmetry_space_group_name_Hall '-P 4 2 3'
loop_
_atom_site_label
_atom_site_type_symbol
_atom_site_fract_x
_atom_site_fract_y
_atom_site_fract_z
Dy1 Dy 0.000 0.000 0.000
Al1 Al 0.000 0.500 0.500
```

***

# 4
# DyAl3
Simulated X-ray diffraction stick pattern, Cu Kα. Input: a GGA-PBE-relaxed structure.

Top 12 peaks for 10° ≤ 2θ ≤ 80°, in order of falling intensity:
| Position (°2θ) | d (Å) | I (rel.) |
| --- | --- | --- |
| 29.23 | 3.055 | 100 |
| 24.19 | 3.679 | 77 |
| 26.06 | 3.419 | 72 |
| 38.29 | 2.351 | 72 |
| 39.56 | 2.278 | 70 |
| 19.48 | 4.556 | 64 |
| 37.66 | 2.389 | 54 |
| 35.37 | 2.538 | 52 |
| 48.37 | 1.882 | 50 |
| 73.60 | 1.287 | 44 |
| 60.61 | 1.528 | 39 |
| 20.87 | 4.257 | 30 |

Structure:
```
data_DyAl3
_chemical_formula_sum 'Dy15 Al45'
_cell_length_a 6.1109
_cell_length_b 6.1109
_cell_length_c 35.8320
_cell_angle_alpha 90.00
_cell_angle_beta 90.00
_cell_angle_gamma 120.00
_symmetry_space_group_name_H-M 'R -3 m'
_symmetry_Int_Tables_number 166
_symmetry_space_group_name_Hall '-R 3 2"'
loop_
_atom_site_label
_atom_site_type_symbol
_atom_site_fract_x
_atom_site_fract_y
_atom_site_fract_z
Dy1 Dy 0.0000 0.0000 0.0000
Dy2 Dy 0.0000 0.0000 0.1308
Dy3 Dy 0.0000 0.0000 0.4001
Al1 Al 0.0000 0.5000 0.0000
Al2 Al 0.0044 0.5022 0.8662
Al3 Al 0.0365 0.5182 0.3996
```

***

Repeat the first record exactly.
# DyAl3
Simulated X-ray diffraction stick pattern, Cu Kα. Input: a GGA-PBE-relaxed structure.

Top 12 peaks for 10° ≤ 2θ ≤ 80°, in order of falling intensity:
| Position (°2θ) | d (Å) | I (rel.) |
| --- | --- | --- |
| 25.09 | 3.549 | 100 |
| 38.85 | 2.318 | 95 |
| 29.17 | 3.062 | 57 |
| 19.14 | 4.636 | 51 |
| 35.12 | 2.555 | 41 |
| 37.67 | 2.388 | 31 |
| 48.34 | 1.883 | 29 |
| 73.48 | 1.289 | 25 |
| 49.31 | 1.848 | 25 |
| 60.47 | 1.531 | 22 |
| 44.47 | 2.037 | 21 |
| 68.79 | 1.365 | 18 |

Structure:
```
data_DyAl3
_chemical_formula_sum 'Dy4 Al12'
_cell_length_a 6.1237
_cell_length_b 6.1237
_cell_length_c 9.5505
_cell_angle_alpha 90.00
_cell_angle_beta 90.00
_cell_angle_gamma 120.00
_symmetry_space_group_name_H-M 'P 63/m m c'
_symmetry_Int_Tables_number 194
_symmetry_space_group_name_Hall '-P 6c 2c'
loop_
_atom_site_label
_atom_site_type_symbol
_atom_site_fract_x
_atom_site_fract_y
_atom_site_fract_z
Dy1 Dy 0.0000 0.0000 0.0000
Dy2 Dy 0.3333 0.6667 0.2500
Al1 Al 0.0000 0.5000 0.0000
Al2 Al 0.1834 0.3669 0.7500
```